Record 1
For NiBr2, a cell relaxed with PBE gives the simulated XRD peak list in this record (λ = 1.5418 Å (Cu Kα)).
Lines closer than 0.1° are merged.

Top 10 peaks for 2θ = 10–80°, sorted by position:
2θ/deg	I (rel.)
14.2	47
28.4	10
29.6	27
34.1	100
44.2	14
48.3	33
49.6	34
51.9	9
61.6	17
71.7	10

Structural model:
Unit cell a=3.6752 b=3.6752 c=18.7136 alpha=90.00 beta=90.00 gamma=120.00
Space group R-3m (No. 166, hexagonal axes)
Symmetry-distinct sites (fractional):
Ni1 0.0000 0.0000 0.0000 (multiplicity 3)
Br1 0.0000 0.0000 0.2584 (multiplicity 6)

---

Record 2
For NiRuBr2, a cell relaxed with PBE gives the simulated XRD peak list in this record (λ = 1.5418 Å (Cu Kα)).
Lines closer than 0.1° are merged.

Top 7 peaks for 2θ = 10–80°, sorted by position:
2θ/deg	I (rel.)
24.0	3
39.6	100
46.8	2
57.3	16
63.0	1
71.9	33
77.0	1

Structural model:
Unit cell a=6.4323 b=6.4323 c=6.4323 alpha=90.00 beta=90.00 gamma=90.00
Space group Fm-3m (No. 225)
Symmetry-distinct sites (fractional):
Ni1 0.0000 0.0000 0.0000 (multiplicity 4)
Ru1 0.0000 0.0000 0.5000 (multiplicity 4)
Br1 0.2500 0.2500 0.2500 (multiplicity 8)

---

Record 3
For Sc7NiBr12, a cell relaxed with PBE gives the simulated XRD peak list in this record (λ = 1.5418 Å (Cu Kα)).
Lines closer than 0.1° are merged.

Top 10 peaks for 2θ = 10–80°, sorted by position:
2θ/deg	I (rel.)
12.6	11
27.9	63
32.3	100
46.4	68
55.0	23
55.1	7
57.7	17
67.7	10
77.0	13
77.1	13

Structural model:
Unit cell a=14.0982 b=14.0982 c=9.6058 alpha=90.00 beta=90.00 gamma=120.00
Space group R-3 (No. 148, hexagonal axes)
Symmetry-distinct sites (fractional):
Sc1 0.0000 0.0000 0.0000 (multiplicity 3)
Sc2 0.0446 0.1604 0.3548 (multiplicity 18)
Ni1 0.0000 0.0000 0.5000 (multiplicity 3)
Br1 0.0241 0.5853 0.1593 (multiplicity 18)
Br2 0.0506 0.1762 0.8342 (multiplicity 18)

---

Q: Number 3 is which compound?
A: Sc7NiBr12